Entry 1:
This entry pairs a crystal structure of Na2HfAlP3O12 with its theoretical powder diffractogram. Radiation: Cu Kα. Structure: DFT lattice parameters and positions (GGA-PBE).
Intensities are scaled so that the largest is 100.

Main lines, low angle first (2θ = 10–90°):
2θ = 14.07°, rel. 55.4; 2θ = 14.19°, rel. 83.5; 2θ = 19.80°, rel. 100.0; 2θ = 20.27°, rel. 56.6; 2θ = 20.44°, rel. 33.5; 2θ = 23.58°, rel. 33.7; 2θ = 28.60°, rel. 38.8; 2θ = 31.54°, rel. 38.4; 2θ = 31.67°, rel. 76.8; 2θ = 35.69°, rel. 29.9

Structure:
```
Na2HfAlP3O12
1.0
7.6086 -4.3453 0.0000
7.6086 4.3453 0.0000
-5.0439 0.0000 7.4235
Na Hf Al P O
4 2 2 6 24
Cartesian
5.0867 3.3680 3.7117 Na
7.6322 2.1680 5.5159 Na
7.6086 -3.3680 0.0000 Na
10.1541 -2.1680 1.8042 Na
2.5015 2.1283 5.1454 Hf
5.0235 -2.1283 1.4337 Hf
7.6540 2.1370 2.3180 Al
5.1321 -2.1370 6.0298 Al
-0.3616 0.8646 3.7463 P
2.1603 -0.8646 0.0346 P
5.1762 0.3426 3.8004 P
7.6981 -0.3426 0.0887 P
10.4231 1.0043 3.8059 P
12.9451 -1.0043 0.0942 P
-1.2846 1.1395 4.9509 O
-2.7596 0.6714 7.2904 O
1.0440 1.4921 3.8697 O
6.0214 2.7844 1.3621 O
4.1314 2.8727 6.1642 O
-0.2376 -0.6714 3.5787 O
1.2374 -1.1395 1.2391 O
3.9295 1.2880 3.8942 O
2.3752 0.4799 6.2408 O
3.5659 -1.4921 0.1579 O
6.4040 1.2641 3.6129 O
4.8971 -0.4799 2.5290 O
7.8489 0.5602 1.3100 O
9.0459 1.6253 3.5769 O
6.4514 -1.2880 0.1824 O
5.3269 -0.5602 5.0217 O
11.3566 1.1694 2.5786 O
3.8821 -1.2641 7.3247 O
3.4995 -2.7844 5.0738 O
12.8398 0.5552 0.1848 O
6.6533 -2.8727 2.4525 O
10.3179 -0.5552 3.8965 O
6.5240 -1.6253 7.2887 O
8.8347 -1.1694 6.2903 O
```

=====

Entry 2:
This entry pairs a crystal structure of Na4HfAlSi2PO12 with its theoretical powder diffractogram. Radiation: Cu Kα. Structure: DFT lattice parameters and positions (GGA-PBE).
Intensities are scaled so that the largest is 100.

Main lines, low angle first (2θ = 10–90°):
2θ = 13.83°, rel. 79.2; 2θ = 14.01°, rel. 36.5; 2θ = 19.60°, rel. 53.7; 2θ = 19.73°, rel. 100.0; 2θ = 24.17°, rel. 28.2; 2θ = 27.87°, rel. 28.0; 2θ = 31.24°, rel. 86.6; 2θ = 31.52°, rel. 38.8; 2θ = 34.43°, rel. 49.5; 2θ = 34.68°, rel. 25.2

Structure:
```
Na4HfAlSi2PO12
1.0
7.7550 -4.5253 0.0000
7.7550 4.5253 0.0000
-5.2513 0.0000 7.3842
Na Hf Al Si P O
8 2 2 4 2 24
Cartesian
5.1293 3.9880 3.6921 Na
-0.3097 1.0670 7.3149 Na
7.5222 2.2974 1.7888 Na
2.3160 -1.0670 3.6228 Na
9.8539 0.6501 0.0118 Na
7.2282 -0.6501 3.7039 Na
4.8965 -2.2974 5.4809 Na
7.7550 -3.9880 0.0000 Na
7.4399 2.2706 5.1395 Hf
10.0656 -2.2706 1.4474 Hf
2.2334 2.3887 5.9530 Al
4.8591 -2.3887 2.2609 Al
0.0068 0.9954 3.7381 Si
2.6324 -0.9954 0.0460 Si
10.0992 0.3941 3.7257 Si
12.7248 -0.3941 0.0336 Si
4.5268 0.9086 3.7478 P
7.1524 -0.9086 0.0557 P
0.9586 1.1488 2.4097 O
1.0456 3.1733 7.2596 O
2.4702 0.6485 0.1254 O
0.7616 1.6681 5.0293 O
3.9479 1.5928 2.4775 O
-0.1555 -0.6485 3.8175 O
3.6684 2.8061 7.2328 O
-1.6671 -1.1488 6.1018 O
3.6140 1.1782 4.9725 O
5.9328 1.5775 3.8286 O
2.0716 0.6156 7.2659 O
3.3873 -1.6681 1.3372 O
4.6972 -0.6156 3.5738 O
1.3223 -1.5928 6.1696 O
6.2397 -1.1782 1.2804 O
8.7532 1.3399 3.8197 O
7.1681 0.5226 6.0923 O
8.5585 -1.5775 0.1365 O
3.6713 -3.1733 3.5675 O
9.7938 -0.5226 2.4002 O
12.9629 0.5880 1.3192 O
6.2941 -2.8061 3.5407 O
11.3788 -1.3399 0.1276 O
10.3373 -0.5880 5.0113 O
```